# 1
Diffraction record for CeTm3Ru3. The powder XRD pattern is theoretical, not measured: it uses DFT lattice parameters and positions (PBE) and Cu Kα (weighted mean of Kα1 and Kα2).

Top 10 peaks for 2θ from 5° to 70°, by angle:
| 2θ/deg | intensity |
| --- | --- |
| 26.7 | 22 |
| 32.2 | 38 |
| 32.9 | 45 |
| 33.2 | 46 |
| 37.6 | 100 |
| 38.5 | 90 |
| 42.5 | 18 |
| 54.9 | 18 |
| 57.9 | 15 |
| 58.6 | 38 |

Structural model:
Cell: 9.3613 9.3613 5.9188 Å, 90.00 90.00 120.00°
Space group R3m (No. 160, hexagonal axes)
Symmetry-distinct sites (fractional):
Ce 0.0000 0.0000 0.0000 x3
Tm 0.1970 0.3940 0.2071 x9
Ru 0.1745 0.3490 0.7294 x9

=====

# 2
Diffraction record for B2H7. The powder XRD pattern is theoretical, not measured: it uses DFT lattice parameters and positions (PBE) and Cu Kα (weighted mean of Kα1 and Kα2).

Top 10 peaks for 2θ from 5° to 70°, by angle:
| 2θ/deg | intensity |
| --- | --- |
| 13.2 | 100 |
| 16.1 | 73 |
| 21.0 | 11 |
| 26.5 | 44 |
| 32.5 | 6 |
| 32.8 | 4 |
| 38.8 | 4 |
| 42.4 | 4 |
| 42.8 | 5 |
| 52.0 | 3 |

Structural model:
Cell: 2.374 8.446 11.005 Å, 90.00 90.00 90.00°
Space group Immm (No. 71)
Symmetry-distinct sites (fractional):
B 0.000 0.099 0.000 x4
H 0.000 0.302 0.500 x4
H 0.000 0.500 0.500 x2
H 0.157 0.500 0.152 x8

=====

# 3
Diffraction record for SrAg2Au9. The powder XRD pattern is theoretical, not measured: it uses DFT lattice parameters and positions (PBE) and Cu Kα (weighted mean of Kα1 and Kα2).

Top 10 peaks for 2θ from 5° to 70°, by angle:
| 2θ/deg | intensity |
| --- | --- |
| 18.7 | 44 |
| 37.4 | 27 |
| 37.7 | 100 |
| 39.0 | 36 |
| 39.5 | 15 |
| 40.4 | 15 |
| 40.8 | 47 |
| 43.9 | 23 |
| 61.0 | 25 |
| 67.2 | 25 |

Structural model:
Cell: 5.5734 5.5734 27.7388 Å, 90.00 90.00 120.00°
Space group R-3m (No. 166, hexagonal axes)
Symmetry-distinct sites (fractional):
Sr 0.0000 0.0000 0.0000 x3
Ag 0.0000 0.0000 0.1525 x6
Au 0.0000 0.0000 0.3334 x6
Au 0.0000 0.0000 0.5000 x3
Au 0.0038 0.5019 0.9140 x18